Record 1
For Nd2In, a structure optimized by DFT (PBE) gives the theoretical XRD peak list in this record (λ = 1.5418 Å (Cu Kα)).
No peak broadening, texture or thermal motion is included.

Crystal structure
```
Nd2In
1.0
5.5702 0.0000 0.0000
-2.7851 4.8239 0.0000
0.0000 0.0000 6.9531
Nd In
4 2
Direct
0.0000 0.0000 0.0000
0.0000 0.0000 0.5000
0.3333 0.6667 0.2500
0.6667 0.3333 0.7500
0.3333 0.6667 0.7500
0.6667 0.3333 0.2500
```

Top 6 peaks for 2θ from 5° to 70°, by angle:
2θ 31.7, 2.820 Å, intensity 95.1
2θ 32.1, 2.785 Å, intensity 100.0
2θ 45.8, 1.982 Å, intensity 34.3
2θ 57.0, 1.615 Å, intensity 35.5
2θ 57.3, 1.608 Å, intensity 19.0
2θ 63.0, 1.475 Å, intensity 28.4

Record 2
For Pb4S2O7, a structure optimized by DFT (PBE) gives the theoretical XRD peak list in this record (λ = 1.5418 Å (Cu Kα)).
No peak broadening, texture or thermal motion is included.

Crystal structure
```
Pb4S2O7
1.0
6.4703 0.0000 0.0000
0.2525 7.9536 0.0000
2.0230 -0.0631 10.2751
Pb S O
8 4 14
Direct
0.1759 0.4050 0.1946
0.2126 0.1309 0.5322
0.2235 0.8664 0.1845
0.2460 0.6231 0.4871
0.7540 0.3769 0.5129
0.7765 0.1336 0.8155
0.7874 0.8691 0.4678
0.8241 0.5950 0.8054
0.2749 0.6569 0.9220
0.3119 0.8728 0.8112
0.6881 0.1272 0.1888
0.7251 0.3431 0.0780
0.0112 0.3449 0.7443
0.1047 0.3628 0.4216
0.1432 0.8734 0.7316
0.1460 0.8933 0.4191
0.2960 0.0217 0.8950
0.3490 0.6213 0.2656
0.4767 0.1489 0.2748
0.5233 0.8511 0.7252
0.6510 0.3787 0.7344
0.7040 0.9783 0.1050
0.8540 0.1067 0.5809
0.8568 0.1266 0.2684
0.8953 0.6372 0.5784
0.9888 0.6551 0.2557
```

Top 6 peaks for 2θ from 5° to 70°, by angle:
2θ 8.6, 10.275 Å, intensity 100.0
2θ 14.9, 5.936 Å, intensity 64.0
2θ 26.0, 3.425 Å, intensity 93.3
2θ 26.6, 3.346 Å, intensity 58.6
2θ 27.3, 3.264 Å, intensity 65.5
2θ 28.1, 3.173 Å, intensity 76.3

Record 3
For PrTlPd, a structure optimized by DFT (PBE) gives the theoretical XRD peak list in this record (λ = 1.5418 Å (Cu Kα)).
No peak broadening, texture or thermal motion is included.

Crystal structure
```
PrTlPd
1.0
9.2339 0.0000 0.0000
-4.6169 7.9968 0.0000
0.0000 0.0000 3.2417
Pr Tl Pd
3 3 3
Direct
0.0000 0.6226 0.0000
0.3774 0.3774 0.0000
0.6226 0.0000 0.0000
0.0000 0.2954 0.0000
0.2954 0.0000 0.0000
0.7046 0.7046 0.0000
0.0000 0.0000 0.0000
0.3333 0.6667 0.5000
0.6667 0.3333 0.5000
```

Top 6 peaks for 2θ from 5° to 70°, by angle:
2θ 27.5, 3.242 Å, intensity 34.8
2θ 29.6, 3.023 Å, intensity 28.4
2θ 33.6, 2.666 Å, intensity 100.0
2θ 33.8, 2.653 Å, intensity 54.1
2θ 40.8, 2.211 Å, intensity 26.5
2θ 44.0, 2.059 Å, intensity 37.6

Record 4
For Li3GaN2, a structure optimized by DFT (PBE) gives the theoretical XRD peak list in this record (λ = 1.5418 Å (Cu Kα)).
No peak broadening, texture or thermal motion is included.

Crystal structure
```
Li3GaN2
1.0
-4.8377 4.8377 4.8377
4.8377 -4.8377 4.8377
4.8377 4.8377 -4.8377
Li Ga N
24 8 16
Direct
0.0079 0.9758 0.2390
0.0242 0.7610 0.9921
0.0320 0.5079 0.2689
0.2311 0.7390 0.7631
0.2369 0.7689 0.2610
0.2390 0.0079 0.9758
0.2610 0.2369 0.7689
0.2631 0.5242 0.5320
0.2689 0.0320 0.5079
0.4680 0.7369 0.4758
0.4758 0.4680 0.7369
0.4921 0.7311 0.9680
0.5079 0.2689 0.0320
0.5242 0.5320 0.2631
0.5320 0.2631 0.5242
0.7311 0.9680 0.4921
0.7369 0.4758 0.4680
0.7390 0.7631 0.2311
0.7610 0.9921 0.0242
0.7631 0.2311 0.7390
0.7689 0.2610 0.2369
0.9680 0.4921 0.7311
0.9758 0.2390 0.0079
0.9921 0.0242 0.7610
0.0000 0.2358 0.5000
0.0000 0.7642 0.5000
0.2358 0.5000 0.0000
0.2642 0.2642 0.2642
0.5000 0.0000 0.2358
0.5000 0.0000 0.7642
0.7358 0.7358 0.7358
0.7642 0.5000 0.0000
0.0000 0.0000 0.5000
0.0000 0.5000 0.0000
0.0228 0.2500 0.2728
0.2272 0.4772 0.7500
0.2500 0.2728 0.0228
0.2500 0.7728 0.5228
0.2728 0.0228 0.2500
0.4772 0.7500 0.2272
0.5000 0.0000 0.0000
0.5000 0.5000 0.5000
0.5228 0.2500 0.7728
0.7272 0.9772 0.7500
0.7500 0.2272 0.4772
0.7500 0.7272 0.9772
0.7728 0.5228 0.2500
0.9772 0.7500 0.7272
```

Top 6 peaks for 2θ from 5° to 70°, by angle:
2θ 22.5, 3.950 Å, intensity 100.0
2θ 34.7, 2.586 Å, intensity 59.6
2θ 37.2, 2.419 Å, intensity 20.7
2θ 43.9, 2.063 Å, intensity 18.4
2θ 53.6, 1.710 Å, intensity 41.6
2θ 58.8, 1.570 Å, intensity 19.6

Record 5
For Zr3Se, a structure optimized by DFT (PBE) gives the theoretical XRD peak list in this record (λ = 1.5418 Å (Cu Kα)).
No peak broadening, texture or thermal motion is included.

Crystal structure
```
Zr3Se
1.0
6.0543 0.0000 0.0000
-3.0272 5.2432 0.0000
0.0000 0.0000 5.2199
Zr Se
6 2
Direct
0.1655 0.3310 0.2500
0.1655 0.8345 0.2500
0.3310 0.1655 0.7500
0.6690 0.8345 0.2500
0.8345 0.1655 0.7500
0.8345 0.6690 0.7500
0.3333 0.6667 0.7500
0.6667 0.3333 0.2500
```

Top 6 peaks for 2θ from 5° to 70°, by angle:
2θ 34.2, 2.622 Å, intensity 23.1
2θ 34.4, 2.610 Å, intensity 30.4
2θ 38.4, 2.343 Å, intensity 100.0
2θ 49.3, 1.850 Å, intensity 16.3
2θ 61.2, 1.514 Å, intensity 16.4
2θ 64.3, 1.450 Å, intensity 21.2

Record 6
For SiBi2O5, a structure optimized by DFT (PBE) gives the theoretical XRD peak list in this record (λ = 1.5418 Å (Cu Kα)).
No peak broadening, texture or thermal motion is included.

Crystal structure
```
SiBi2O5
1.0
10.8761 0.0000 0.0000
0.0000 3.9003 0.0000
0.0000 0.0000 11.1102
Si Bi O
4 8 20
Direct
0.2072 0.2500 0.1426
0.2928 0.7500 0.6426
0.7072 0.2500 0.3574
0.7928 0.7500 0.8574
0.0717 0.2500 0.7838
0.1466 0.2500 0.4575
0.3534 0.7500 0.9575
0.4283 0.7500 0.2838
0.5717 0.2500 0.7162
0.6466 0.2500 0.0425
0.8534 0.7500 0.5425
0.9283 0.7500 0.2162
0.0010 0.2500 0.6014
0.0627 0.2500 0.1835
0.1906 0.7500 0.7560
0.2339 0.7500 0.1342
0.2430 0.2500 0.9951
0.2570 0.7500 0.4951
0.2661 0.2500 0.6342
0.3094 0.2500 0.2560
0.4373 0.7500 0.6835
0.4990 0.7500 0.1014
0.5010 0.2500 0.8986
0.5627 0.2500 0.3165
0.6906 0.7500 0.7440
0.7339 0.7500 0.3658
0.7430 0.2500 0.5049
0.7570 0.7500 0.0049
0.7661 0.2500 0.8658
0.8094 0.2500 0.2440
0.9373 0.7500 0.8165
0.9990 0.7500 0.3986
```

Top 6 peaks for 2θ from 5° to 70°, by angle:
2θ 11.4, 7.772 Å, intensity 37.1
2θ 25.4, 3.506 Å, intensity 42.7
2θ 28.2, 3.169 Å, intensity 100.0
2θ 29.2, 3.061 Å, intensity 68.9
2θ 33.4, 2.686 Å, intensity 40.2
2θ 43.7, 2.070 Å, intensity 39.7